# Co2Mo3O8
Theoretical powder X-ray diffraction pattern, Cu Kα X-rays. Input: a GGA+U-relaxed structure.

Cell and atoms:
Lattice parameters (Å, degrees): 5.866 5.866 9.997 90.00 90.00 120.00
Fractional positions:
Co  0.333  0.667  0.000
Co  0.333  0.667  0.434
Co  0.667  0.333  0.500
Co  0.667  0.333  0.934
Mo  0.146  0.292  0.736
Mo  0.146  0.854  0.736
Mo  0.292  0.146  0.236
Mo  0.708  0.854  0.736
Mo  0.854  0.146  0.236
Mo  0.854  0.708  0.236
O  0.000  0.000  0.380
O  0.000  0.000  0.880
O  0.025  0.512  0.853
O  0.169  0.338  0.119
O  0.169  0.831  0.119
O  0.333  0.667  0.631
O  0.338  0.169  0.619
O  0.488  0.512  0.853
O  0.488  0.975  0.853
O  0.512  0.025  0.353
O  0.512  0.488  0.353
O  0.662  0.831  0.119
O  0.667  0.333  0.131
O  0.831  0.169  0.619
O  0.831  0.662  0.619
O  0.975  0.488  0.353

Main lines, by angle (2θ from 10° to 90°):
h k l	two_theta	I/Imax
0 0 2	17.7	72.4
1 0 2	25.0	100.0
1 0 3	32.1	37.9
2 0 0	35.3	27.1
1 1 2	35.5	77.1
2 0 1	36.5	87.2
2 0 3	44.9	47.2
2 0 4	51.3	26.6
0 0 6	55.2	43.7
3 0 2	57.5	23.0
2 0 5	58.8	56.5
2 2 0	63.4	35.9